Entry 1:
Simulated XRD peak list of Li3FeIrO5 for Cu Ka, from the PBE+U geometry in the Materials Project.

Atomic structure:
Cell lengths 5.1817, 5.9869, 6.6830 Å; angles 103.85, 97.44, 106.94 degrees
Sites, in units of the cell vectors:
Li  0.0000  0.0000  0.0000
Li  0.0000  0.5000  0.0000
Li  0.1920  0.4003  0.3991
Li  0.3855  0.7987  0.8089
Li  0.6145  0.2013  0.1911
Li  0.8080  0.5997  0.6009
Fe  0.1950  0.8879  0.3868
Fe  0.8050  0.1121  0.6132
Ir  0.4043  0.3091  0.8093
Ir  0.5957  0.6909  0.1907
O  0.1013  0.4382  0.6990
O  0.1094  0.9684  0.6949
O  0.3048  0.3519  0.0987
O  0.3055  0.8475  0.1107
O  0.4934  0.2401  0.5157
O  0.5066  0.7599  0.4843
O  0.6945  0.1525  0.8893
O  0.6952  0.6481  0.9013
O  0.8906  0.0316  0.3051
O  0.8987  0.5618  0.3010

The 10 most intense peaks (10 to 90 degrees two-theta), low angle first:
Position (°2θ), d/Å, I/Imax
18.05, 4.915, 100
18.33, 4.841, 28
20.00, 4.439, 23
20.56, 4.320, 21
35.16, 2.553, 18
35.46, 2.532, 16
37.09, 2.424, 18
42.61, 2.122, 21
42.88, 2.109, 21
43.05, 2.101, 20

Entry 2:
Simulated XRD peak list of Mn2O3F for Cu Ka, from the PBE+U geometry in the Materials Project.

Atomic structure:
Cell lengths 9.6761, 9.6761, 4.5867 Å; angles 92.14, 92.14, 36.42 degrees
Sites, in units of the cell vectors:
Mn  0.0000  0.0000  0.0000
Mn  0.1202  0.6286  0.5013
Mn  0.2563  0.2563  0.9753
Mn  0.3714  0.8798  0.4987
Mn  0.5000  0.5000  0.0000
Mn  0.6286  0.1202  0.5013
Mn  0.7437  0.7437  0.0247
Mn  0.8798  0.3714  0.4987
O  0.0470  0.5480  0.1928
O  0.0781  0.0781  0.6887
O  0.2031  0.7012  0.8080
O  0.2988  0.7969  0.1920
O  0.3287  0.3287  0.6895
O  0.4520  0.9530  0.8072
O  0.5480  0.0470  0.1928
O  0.6713  0.6713  0.3105
O  0.7012  0.2031  0.8080
O  0.7969  0.2988  0.1920
O  0.9219  0.9219  0.3113
O  0.9530  0.4520  0.8072
F  0.1808  0.1808  0.2776
F  0.4284  0.4284  0.2863
F  0.5716  0.5716  0.7137
F  0.8192  0.8192  0.7224

The 10 most intense peaks (10 to 90 degrees two-theta), low angle first:
Position (°2θ), d/Å, I/Imax
26.94, 3.310, 88
28.04, 3.182, 93
35.56, 2.524, 100
40.41, 2.232, 17
53.38, 1.716, 53
54.62, 1.680, 27
54.66, 1.679, 27
55.53, 1.655, 17
68.74, 1.366, 30
68.86, 1.364, 18

Entry 3:
Simulated XRD peak list of Ca3Fe2Re2O12 for Cu Ka, from the PBE+U geometry in the Materials Project.

Atomic structure:
Cell lengths 5.3793, 5.5366, 7.7243 Å; angles 89.98, 89.99, 89.55 degrees
Sites, in units of the cell vectors:
Ca  0.0000  0.0000  0.0000
Ca  0.0208  0.1042  0.5031
Ca  0.5255  0.4936  0.0035
Fe  0.0133  0.5517  0.7467
Fe  0.5100  0.0405  0.2547
Re  0.0141  0.5537  0.2595
Re  0.5075  0.0435  0.7429
O  0.0991  0.5727  0.0068
O  0.1965  0.8469  0.2886
O  0.2137  0.8564  0.7153
O  0.2912  0.3469  0.2872
O  0.3073  0.3253  0.7104
O  0.4291  0.0733  0.9951
O  0.5918  0.0267  0.5082
O  0.7093  0.7692  0.8031
O  0.7292  0.7533  0.1998
O  0.7985  0.2483  0.7902
O  0.8120  0.2667  0.2070
O  0.9347  0.5350  0.4924

The 10 most intense peaks (10 to 90 degrees two-theta), low angle first:
Position (°2θ), d/Å, I/Imax
19.73, 4.500, 57
20.12, 4.414, 53
22.99, 3.868, 100
23.14, 3.843, 49
32.34, 2.768, 36
32.75, 2.735, 69
32.88, 2.724, 69
33.31, 2.690, 33
46.92, 1.937, 22
47.06, 1.931, 22

Entry 4:
Simulated XRD peak list of CaFeF6 for Cu Ka, from the PBE+U geometry in the Materials Project.

Atomic structure:
Cell lengths 5.7750, 5.7750, 5.7750 Å; angles 58.08, 58.08, 58.08 degrees
Sites, in units of the cell vectors:
Ca  0.0000  0.0000  0.0000
Fe  0.5000  0.5000  0.5000
F  0.1837  0.3667  0.7229
F  0.2771  0.8163  0.6333
F  0.3667  0.7229  0.1837
F  0.6333  0.2771  0.8163
F  0.7229  0.1837  0.3667
F  0.8163  0.6333  0.2771

The 10 most intense peaks (10 to 90 degrees two-theta), low angle first:
Position (°2θ), d/Å, I/Imax
19.30, 4.600, 9
22.11, 4.021, 100
31.00, 2.885, 14
37.17, 2.419, 17
45.09, 2.011, 21
50.14, 1.819, 26
51.39, 1.778, 12
56.31, 1.634, 7
56.89, 1.619, 7
71.24, 1.324, 7

Entry 5:
Simulated XRD peak list of NaLaNiWO6 for Cu Ka, from the PBE+U geometry in the Materials Project.

Atomic structure:
Cell lengths 7.9016, 7.9174, 12.5002 Å; angles 108.24, 90.03, 90.04 degrees
Sites, in units of the cell vectors:
Na  0.0000  0.0000  0.0000
Na  0.0013  0.1521  0.3196
Na  0.0027  0.4812  0.9925
Na  0.5032  0.6546  0.3242
Na  0.9976  0.3299  0.6611
Na  0.9990  0.8150  0.6559
La  0.0050  0.6674  0.3308
La  0.4978  0.8240  0.6605
La  0.4991  0.1632  0.3248
La  0.4997  0.4913  0.9948
La  0.5012  0.3234  0.6608
La  0.5010  0.9891  0.9908
Ni  0.2443  0.1543  0.8260
Ni  0.2486  0.4895  0.4918
Ni  0.2500  0.8223  0.1584
Ni  0.7502  0.9899  0.4927
Ni  0.7516  0.3251  0.1606
Ni  0.7552  0.6574  0.8256
W  0.2352  0.6550  0.8257
W  0.2424  0.9921  0.4933
W  0.2429  0.3229  0.1589
W  0.7591  0.4880  0.4922
W  0.7591  0.8229  0.1582
W  0.7638  0.1566  0.8262
O  0.0070  0.3784  0.1871
O  0.0089  0.7102  0.8540
O  0.0099  0.0446  0.5188
O  0.2022  0.7492  0.4944
O  0.2043  0.9105  0.3313
O  0.2222  0.2413  0.9981
O  0.2236  0.5793  0.6651
O  0.2247  0.4169  0.8302
O  0.2263  0.0820  0.1614
O  0.2894  0.5637  0.1561
O  0.2906  0.4028  0.3205
O  0.2992  0.0711  0.6552
O  0.3030  0.8975  0.8256
O  0.3037  0.2333  0.4918
O  0.3074  0.7377  0.9865
O  0.4863  0.9380  0.4689
O  0.4938  0.2750  0.1348
O  0.4952  0.6068  0.7991
O  0.5044  0.2068  0.8513
O  0.5090  0.5393  0.5226
O  0.5092  0.8795  0.1833
O  0.6950  0.0738  0.6644
O  0.6948  0.2458  0.4933
O  0.6961  0.9128  0.8234
O  0.6968  0.7442  0.9964
O  0.7043  0.4032  0.3317
O  0.7068  0.5797  0.1546
O  0.7726  0.2280  0.9865
O  0.7744  0.3957  0.8231
O  0.7782  0.0633  0.1565
O  0.7830  0.5654  0.6526
O  0.7919  0.7279  0.4864
O  0.7926  0.8957  0.3200
O  0.9907  0.1040  0.8000
O  0.9911  0.4381  0.4612
O  0.9918  0.7674  0.1347

The 10 most intense peaks (10 to 90 degrees two-theta), low angle first:
Position (°2θ), d/Å, I/Imax
19.43, 4.568, 50
22.48, 3.956, 23
25.16, 3.539, 13
31.97, 2.799, 98
32.03, 2.794, 100
37.69, 2.386, 20
45.88, 1.978, 59
56.94, 1.617, 36
57.09, 1.613, 47
66.93, 1.398, 21

Entry 6:
Simulated XRD peak list of Li4Mn3Fe2Ni3O16 for Cu Ka, from the PBE+U geometry in the Materials Project.

Atomic structure:
Cell lengths 5.7839, 5.7912, 9.4615 Å; angles 89.89, 89.48, 60.31 degrees
Sites, in units of the cell vectors:
Li  0.0000  0.0000  0.0000
Li  0.0008  0.0038  0.4981
Li  0.3338  0.3240  0.1084
Li  0.6697  0.6671  0.6006
Mn  0.1688  0.6589  0.7821
Mn  0.6593  0.1665  0.7807
Mn  0.8262  0.8309  0.2816
Fe  0.3191  0.3419  0.5022
Fe  0.6604  0.6574  0.0067
Ni  0.1668  0.1701  0.7805
Ni  0.3377  0.8269  0.2802
Ni  0.8287  0.3378  0.2828
O  0.0336  0.5019  0.6529
O  0.1533  0.1702  0.3923
O  0.1581  0.6811  0.3914
O  0.3266  0.8149  0.9012
O  0.3340  0.3356  0.8891
O  0.4774  0.0402  0.6588
O  0.4852  0.4804  0.6634
O  0.5191  0.9562  0.1612
O  0.5273  0.5035  0.1632
O  0.6745  0.1614  0.3941
O  0.6814  0.6535  0.3899
O  0.8336  0.8364  0.8929
O  0.8391  0.3187  0.8919
O  0.9605  0.5166  0.1625
O  0.9803  0.0131  0.1869
O  0.9982  0.9939  0.6866

The 10 most intense peaks (10 to 90 degrees two-theta), low angle first:
Position (°2θ), d/Å, I/Imax
18.76, 4.731, 100
19.98, 4.443, 90
20.11, 4.416, 49
33.46, 2.678, 27
36.40, 2.468, 28
36.96, 2.432, 43
37.11, 2.423, 26
46.13, 1.968, 27
46.45, 1.955, 30
64.39, 1.447, 37

Entry 7:
Simulated XRD peak list of LiFeAsCO7 for Cu Ka, from the PBE+U geometry in the Materials Project.

Atomic structure:
Cell lengths 5.2650, 6.6440, 8.8289 Å; angles 90.00, 94.51, 90.00 degrees
Sites, in units of the cell vectors:
Li  0.2116  0.0000  0.2827
Li  0.7884  0.5000  0.7173
Fe  0.2021  0.7422  0.8462
Fe  0.7979  0.2422  0.1538
As  0.2734  0.2335  0.9223
As  0.7266  0.7335  0.0777
C  0.2732  0.7361  0.5640
C  0.7268  0.2361  0.4360
O  0.0486  0.7325  0.6164
O  0.1481  0.2183  0.0968
O  0.1681  0.4380  0.8188
O  0.2059  0.0299  0.8099
O  0.3034  0.7724  0.4265
O  0.3992  0.7512  0.0371
O  0.4610  0.7074  0.6654
O  0.5390  0.2074  0.3346
O  0.6008  0.2512  0.9629
O  0.6966  0.2724  0.5735
O  0.7941  0.5299  0.1901
O  0.8319  0.9380  0.1812
O  0.8519  0.7183  0.9032
O  0.9514  0.2325  0.3836

The 10 most intense peaks (10 to 90 degrees two-theta), low angle first:
Position (°2θ), d/Å, I/Imax
10.05, 8.802, 100
18.99, 4.673, 25
20.37, 4.360, 24
24.42, 3.645, 26
25.37, 3.511, 27
26.84, 3.322, 43
28.72, 3.108, 11
33.81, 2.651, 15
34.17, 2.624, 12
38.77, 2.323, 11